Theoretical XRD peak list
Compound: DyMn6Ga6
Radiation: Cu Kα X-rays
Structure: a crystal structure in Alexandria, relaxed with PBE

Main lines, low angle first (5° ≤ 2θ ≤ 70°):
2θ = 28.90°, intensity 160
2θ = 32.89°, intensity 213
2θ = 34.60°, intensity 276
2θ = 35.78°, intensity 685
2θ = 40.63°, intensity 691
2θ = 41.66°, intensity 1000
2θ = 41.98°, intensity 543
2θ = 45.99°, intensity 340
2θ = 48.48°, intensity 144
2θ = 66.83°, intensity 236

Structural model:
a = 6.6152 Å, b = 6.6152 Å, c = 6.6152 Å
α = 133.86°, β = 98.92°, γ = 98.75°
Element x y z (fractional)
Dy 0.0000 0.0000 0.0000
Mn 0.0000 0.0000 0.5000
Mn 0.0000 0.5000 0.0000
Mn 0.2432 0.7432 0.5000
Mn 0.5000 0.0000 0.0000
Mn 0.5000 0.5000 0.5000
Mn 0.7568 0.2568 0.5000
Ga 0.1912 0.5000 0.6912
Ga 0.3341 0.3341 0.0000
Ga 0.3427 0.0000 0.3427
Ga 0.6573 0.0000 0.6573
Ga 0.6659 0.6659 0.0000
Ga 0.8088 0.5000 0.3088